BaEuSn4O12: calculated X-ray diffraction stick pattern (Cu Ka), based on a PBE-relaxed structure.
Neutral-atom scattering factors, no anomalous dispersion.

Crystal structure
Unit cell a=6.0227 b=6.0227 c=8.5322 alpha=90.00 beta=90.00 gamma=90.16
Positions (direct):
Ba 0.0000 0.0000 0.0000
Eu 0.5000 0.5000 0.5000
Sn 0.0000 0.5000 0.2497
Sn 0.0000 0.5000 0.7503
Sn 0.5000 0.0000 0.2497
Sn 0.5000 0.0000 0.7503
O 0.0000 0.5000 0.0000
O 0.0000 0.5000 0.5000
O 0.2389 0.7611 0.2518
O 0.2389 0.7611 0.7482
O 0.2655 0.2655 0.2528
O 0.2655 0.2655 0.7472
O 0.5000 0.0000 0.0000
O 0.5000 0.0000 0.5000
O 0.7345 0.7345 0.2528
O 0.7345 0.7345 0.7472
O 0.7611 0.2389 0.2518
O 0.7611 0.2389 0.7482

Most intense lines, 2θ from 5° to 70°, in order of rising 2θ:
18.03°, I = 37
20.85°, I = 18
29.65°, I = 100
34.92°, I = 21
42.38°, I = 24
52.61°, I = 43
61.54°, I = 15
69.73°, I = 13

***

ThTe2O6: calculated X-ray diffraction stick pattern (Cu Ka), based on a PBE-relaxed structure.
Neutral-atom scattering factors, no anomalous dispersion.

Crystal structure
Unit cell a=7.2725 b=11.4298 c=8.8402 alpha=90.00 beta=124.30 gamma=90.00
Positions (direct):
Th 0.2465 0.0914 0.0036
Th 0.2465 0.4086 0.5036
Th 0.7535 0.5914 0.4964
Th 0.7535 0.9086 0.9964
Te 0.2257 0.0784 0.4506
Te 0.2257 0.4216 0.9506
Te 0.3090 0.7214 0.5752
Te 0.3090 0.7786 0.0752
Te 0.6910 0.2214 0.9248
Te 0.6910 0.2786 0.4248
Te 0.7743 0.5784 0.0494
Te 0.7743 0.9216 0.5494
O 0.0279 0.0167 0.7097
O 0.0279 0.4833 0.2097
O 0.0737 0.2238 0.3862
O 0.0737 0.2762 0.8862
O 0.1134 0.5978 0.5466
O 0.1134 0.9022 0.0466
O 0.3537 0.0982 0.3128
O 0.3537 0.4018 0.8128
O 0.4655 0.7498 0.3296
O 0.4655 0.7502 0.8296
O 0.4985 0.5975 0.5912
O 0.4985 0.9025 0.0912
O 0.5015 0.0975 0.9088
O 0.5015 0.4025 0.4088
O 0.5345 0.2498 0.1704
O 0.5345 0.2502 0.6704
O 0.6463 0.5982 0.1872
O 0.6463 0.9018 0.6872
O 0.8866 0.0978 0.9534
O 0.8866 0.4022 0.4534
O 0.9263 0.7238 0.1138
O 0.9263 0.7762 0.6138
O 0.9721 0.5167 0.7903
O 0.9721 0.9833 0.2903

Most intense lines, 2θ from 5° to 70°, in order of rising 2θ:
14.39°, I = 31
24.38°, I = 52
25.66°, I = 79
27.73°, I = 100
29.74°, I = 30
31.01°, I = 48
42.69°, I = 21
44.29°, I = 35